1.
Diffraction record for RbCeTe4. The powder X-ray diffraction pattern is calculated, not measured: it uses the PBE geometry in Alexandria and Cu Kα X-rays.
Intensities are scaled so that the largest is 100.

Most intense lines, 10 to 90 degrees two-theta, sorted by position:
d (Å)  two_theta  I_rel
4.661  19.04  11
3.382  26.35  79
3.107  28.73  12
2.949  30.31  100
2.786  32.13  36
2.586  34.69  23
2.198  41.07  61
1.864  48.85  32
1.628  56.52  22
1.599  57.65  14
1.546  59.84  18
1.278  74.17  12

Atomic structure:
```
data_RbCeTe4
_symmetry_space_group_name_H-M 'P 1'
_symmetry_Int_Tables_number 1
_symmetry_space_group_name_Hall 'P 1'
_cell_length_a 6.9504
_cell_length_b 6.9504
_cell_length_c 9.3215
_cell_angle_alpha 90.00
_cell_angle_beta 90.00
_cell_angle_gamma 90.00
loop_
_atom_site_label
_atom_site_fract_x
_atom_site_fract_y
_atom_site_fract_z
Rb1 0.2500 0.2500 0.0000
Rb2 0.7500 0.7500 0.0000
Ce1 0.2500 0.2500 0.5000
Ce2 0.7500 0.7500 0.5000
Te1 0.1045 0.6045 0.2965
Te2 0.1045 0.8955 0.7035
Te3 0.3955 0.6045 0.7035
Te4 0.3955 0.8955 0.2965
Te5 0.6045 0.1045 0.7035
Te6 0.6045 0.3955 0.2965
Te7 0.8955 0.1045 0.2965
Te8 0.8955 0.3955 0.7035
```

---

2.
Diffraction record for Rb3Ce2TlTe6. The powder X-ray diffraction pattern is calculated, not measured: it uses the PBE geometry in Alexandria and Cu Kα X-rays.
Intensities are scaled so that the largest is 100.

Most intense lines, 10 to 90 degrees two-theta, sorted by position:
d (Å)  two_theta  I_rel
8.386  10.55  25
3.443  25.88  100
2.706  33.10  9
2.499  35.94  33
2.375  37.88  37
2.285  39.43  6
1.999  45.37  9
1.955  46.44  18
1.722  53.21  9
1.572  58.74  10
1.510  61.42  14
1.394  67.16  10

Atomic structure:
```
data_Rb3Ce2TlTe6
_symmetry_space_group_name_H-M 'P 1'
_symmetry_Int_Tables_number 1
_symmetry_space_group_name_Hall 'P 1'
_cell_length_a 8.2258
_cell_length_b 8.2258
_cell_length_c 8.8251
_cell_angle_alpha 98.97
_cell_angle_beta 98.97
_cell_angle_gamma 119.93
loop_
_atom_site_label
_atom_site_fract_x
_atom_site_fract_y
_atom_site_fract_z
Rb1 0.0000 0.0000 0.0000
Rb2 0.3439 0.6561 0.0000
Rb3 0.6561 0.3439 0.0000
Ce1 0.1678 0.8322 0.5000
Ce2 0.8322 0.1678 0.5000
Tl1 0.5000 0.5000 0.5000
Te1 0.0683 0.4317 0.2975
Te2 0.2041 0.2041 0.6983
Te3 0.4317 0.0683 0.2975
Te4 0.5683 0.9317 0.7025
Te5 0.7959 0.7959 0.3017
Te6 0.9317 0.5683 0.7025
```